V5O12: simulated powder XRD pattern (Cu Kα, 1.54184 Å), based on a cell relaxed with PBE+U.
Kinematic intensities with the Lorentz-polarization factor, no thermal factor.

Structural model:
```
data_V5O12
_space_group_name_H-M_alt 'P 1'
_space_group_IT_number 1
_cell_length_a 4.973
_cell_length_b 4.973
_cell_length_c 9.012
_cell_angle_alpha 92.46
_cell_angle_beta 92.46
_cell_angle_gamma 112.68
loop_
_space_group_symop_operation_xyz
'x,y,z'
loop_
_atom_site_label
_atom_site_type_symbol
_atom_site_fract_x
_atom_site_fract_y
_atom_site_fract_z
V1 V 0.000 0.000 0.000
V2 V 0.438 0.122 0.220
V3 V 0.453 0.547 0.500
V4 V 0.832 0.168 0.500
V5 V 0.878 0.562 0.780
O1 O 0.091 0.811 0.145
O2 O 0.149 0.515 0.611
O3 O 0.162 0.214 0.394
O4 O 0.189 0.909 0.855
O5 O 0.315 0.323 0.098
O6 O 0.485 0.851 0.389
O7 O 0.597 0.312 0.633
O8 O 0.677 0.685 0.902
O9 O 0.688 0.403 0.367
O10 O 0.694 0.064 0.123
O11 O 0.786 0.838 0.606
O12 O 0.936 0.306 0.877
```

Peak list (6 most intense, 10 to 80 degrees two-theta, sorted by position)
2θ/deg, d/Å, I/Imax
21.20, 4.191, 100
23.66, 3.760, 18
29.34, 3.044, 47
39.75, 2.268, 29
46.90, 1.937, 39
52.94, 1.730, 12